Calculated powder X-ray diffraction pattern of CeScInPb for Cu Kα (weighted mean of Kα1 and Kα2), from a structure optimized by DFT (GGA-PBE).
Neutral-atom scattering factors, no anomalous dispersion.

Cell and atoms:
Lattice parameters (Å, degrees): 7.530 7.530 7.530 90.00 90.00 90.00
Fractional positions:
Ce  0.000  0.000  0.000
Ce  0.000  0.500  0.500
Ce  0.500  0.000  0.500
Ce  0.500  0.500  0.000
Sc  0.000  0.000  0.500
Sc  0.000  0.500  0.000
Sc  0.500  0.000  0.000
Sc  0.500  0.500  0.500
In  0.250  0.250  0.750
In  0.250  0.750  0.250
In  0.750  0.250  0.250
In  0.750  0.750  0.750
Pb  0.250  0.250  0.250
Pb  0.250  0.750  0.750
Pb  0.750  0.250  0.750
Pb  0.750  0.750  0.250

Largest 10 diffraction maxima, most intense first, 2θ = 10–90°:
Position (°2θ)  intensity  h k l
33.7  100  2 2 0
60.2  37  4 2 2
48.3  18  4 0 0
80.7  16  6 2 0
20.4  14  1 1 1
70.8  11  4 4 0
23.6  9  2 0 0
39.7  8  3 1 1
54.5  4  4 2 0
53.0  4  3 3 1